Record 1
Diffraction record for Sc3BiTe2. The PXRD pattern is computed, not measured: it uses a crystal structure in Alexandria, relaxed with PBE and Cu Kα.
Lines closer than 0.1° are merged.

Atomic structure:
```
12
Lattice="8.897 -2.977 0.000 8.897 2.977 0.000 0.000 0.000 5.932" Properties=species:S:1:pos:R:3 pbc="T T T"
Sc 5.906 1.496 1.483
Sc 8.897 1.493 4.449
Sc 11.889 1.496 1.483
Sc 5.906 -1.496 4.449
Sc 8.897 -1.493 1.483
Sc 11.889 -1.496 4.449
Bi 8.897 1.486 1.483
Bi 8.897 -1.486 4.449
Te 5.936 1.483 4.449
Te 11.859 1.483 4.449
Te 5.936 -1.483 1.483
Te 11.859 -1.483 1.483
```

Principal peaks in the range 10 to 90 degrees two-theta, sorted by position:
| 2θ/deg | I/Imax |
| --- | --- |
| 25.99 | 75 |
| 30.02 | 45 |
| 30.13 | 90 |
| 43.08 | 100 |
| 50.90 | 13 |
| 51.05 | 26 |
| 53.44 | 35 |
| 70.83 | 15 |
| 71.04 | 29 |
| 79.04 | 22 |


Record 2
Diffraction record for Sc4BiTe2. The PXRD pattern is computed, not measured: it uses a crystal structure in Alexandria, relaxed with PBE and Cu Kα.
Lines closer than 0.1° are merged.

Atomic structure:
```
14
Lattice="-4.578 4.578 4.456 4.578 -4.578 4.456 4.578 4.578 -4.456" Properties=species:S:1:pos:R:3 pbc="T T T"
Sc 3.984 2.840 -1.676
Sc 2.840 0.594 0.552
Sc 0.594 2.840 -0.552
Sc 0.594 1.739 2.780
Sc 2.840 3.984 1.676
Sc 3.984 1.739 3.904
Sc 1.739 0.594 6.132
Sc 1.739 3.984 5.008
Bi 0.000 0.000 0.000
Bi 0.000 4.578 2.228
Te 2.289 -0.487 3.342
Te 5.065 2.289 1.114
Te 2.289 5.065 -1.114
Te -0.487 2.289 5.570
```

Principal peaks in the range 10 to 90 degrees two-theta, sorted by position:
| 2θ/deg | I/Imax |
| --- | --- |
| 19.39 | 23 |
| 23.91 | 100 |
| 24.25 | 23 |
| 31.66 | 58 |
| 36.80 | 53 |
| 37.02 | 65 |
| 39.36 | 17 |
| 41.92 | 17 |
| 49.67 | 21 |
| 51.37 | 18 |


Question: What is the formula in the first record?
Answer: Sc3BiTe2


Question: Number 1 is which compound?
Answer: Sc3BiTe2